PmSiHO4: simulated PXRD pattern (Cu Ka), based on a GGA-PBE-relaxed structure.
Kinematic intensities with the Lorentz-polarization factor, no thermal factor.

Structure:
a = 15.5712 Å, b = 15.5712 Å, c = 7.8006 Å
α = 90.00°, β = 90.00°, γ = 120.00°
Space group R-3 (No. 148, hexagonal axes)
One atom of each set of equivalent atoms:
Pm: 0.0174 0.7761 0.3456 x18
Si: 0.0720 0.4900 0.7308 x18
H: 0.0234 0.8771 0.8120 x18
O: 0.0107 0.4833 0.1875 x18
O: 0.0155 0.3707 0.7581 x18
O: 0.0484 0.1719 0.2177 x18
O: 0.0777 0.2168 0.8757 x18

Top 10 peaks for 5 to 70 degrees two-theta, low angle first:
d/Å  intensity
7.786  100
5.101  25
4.267  79
3.097  98
2.943  28
2.876  65
2.424  41
1.989  29
1.948  43
1.819  35


TbAsPb: simulated PXRD pattern (Cu Ka), based on a GGA-PBE-relaxed structure.
Kinematic intensities with the Lorentz-polarization factor, no thermal factor.

Structure:
a = 7.1450 Å, b = 7.1450 Å, c = 7.1450 Å
α = 90.00°, β = 90.00°, γ = 90.00°
Space group F-43m (No. 216)
One atom of each set of equivalent atoms:
Tb: 0.0000 0.0000 0.0000 x4
As: 0.0000 0.0000 0.5000 x4
Pb: 0.2500 0.2500 0.7500 x4

Top 8 peaks for 5 to 70 degrees two-theta, low angle first:
d/Å  intensity
4.125  58
3.572  1
2.526  100
2.154  32
1.786  18
1.639  14
1.458  37
1.375  10


Pr2DyCo2B2N3: simulated PXRD pattern (Cu Ka), based on a GGA-PBE-relaxed structure.
Kinematic intensities with the Lorentz-polarization factor, no thermal factor.

Structure:
a = 3.6211 Å, b = 3.6211 Å, c = 19.7441 Å
α = 90.00°, β = 90.00°, γ = 90.00°
Space group I4/mmm (No. 139)
One atom of each set of equivalent atoms:
Pr: 0.0000 0.0000 0.1272 x4
Dy: 0.0000 0.0000 0.5000 x2
Co: 0.0000 0.5000 0.2500 x4
B: 0.0000 0.0000 0.3037 x4
N: 0.0000 0.0000 0.0000 x2
N: 0.0000 0.0000 0.3796 x4

Top 10 peaks for 5 to 70 degrees two-theta, low angle first:
d/Å  intensity
3.173  100
2.669  66
2.560  39
2.478  39
2.468  43
2.273  26
2.021  28
1.811  37
1.572  28
1.460  32


Cu7Ag3: simulated PXRD pattern (Cu Ka), based on a GGA-PBE-relaxed structure.
Kinematic intensities with the Lorentz-polarization factor, no thermal factor.

Structure:
a = 4.6451 Å, b = 2.7325 Å, c = 10.9557 Å
α = 90.00°, β = 96.94°, γ = 90.00°
Space group P2/m (No. 10)
One atom of each set of equivalent atoms:
Cu: 0.0000 0.0000 0.0000 x1
Cu: 0.0873 0.5000 0.8064 x2
Cu: 0.2970 0.5000 0.3921 x2
Cu: 0.3850 0.0000 0.2018 x2
Ag: 0.2063 0.0000 0.6041 x2
Ag: 0.5000 0.5000 0.0000 x1

Top 10 peaks for 5 to 70 degrees two-theta, low angle first:
d/Å  intensity
3.324  4
3.034  5
2.650  4
2.208  100
2.202  49
2.175  47
1.919  64
1.874  29
1.366  10
1.347  27


K3NaP2Pt2: simulated PXRD pattern (Cu Ka), based on a GGA-PBE-relaxed structure.
Kinematic intensities with the Lorentz-polarization factor, no thermal factor.

Structure:
a = 6.1063 Å, b = 5.7183 Å, c = 6.1639 Å
α = 90.00°, β = 106.17°, γ = 90.00°
Space group Pm (No. 6)
One atom of each set of equivalent atoms:
K: 0.0000 0.0000 0.0000 x1
K: 0.0585 0.5000 0.3604 x1
K: 0.6985 0.5000 0.6917 x1
Na: 0.3805 0.0000 0.6984 x1
P: 0.2679 0.5000 0.9241 x1
P: 0.7305 0.0000 0.4327 x1
Pt: 0.5362 0.2495 0.1467 x2

Top 10 peaks for 5 to 70 degrees two-theta, low angle first:
d/Å  intensity
5.920  100
5.865  93
4.905  67
3.000  32
2.978  36
2.932  22
2.572  74
2.470  32
2.259  36
2.048  25